Entry 1:
Simulated X-ray diffraction stick pattern
Compound: LiAgS5
Radiation: copper Kα
Structure: DFT lattice parameters and positions (PBE)
Peak positions follow from Bragg's law for the DFT cell and can differ from measured ones.

Peak list (10 most intense, 2θ = 15–90°, by angle)
- d = 5.390 Å, I = 100
- d = 5.112 Å, I = 30
- d = 4.587 Å, I = 21
- d = 3.491 Å, I = 17
- d = 2.707 Å, I = 49
- d = 2.689 Å, I = 34
- d = 2.543 Å, I = 26
- d = 2.312 Å, I = 11
- d = 2.030 Å, I = 14
- d = 1.805 Å, I = 14

Cell and atoms:
Unit cell a=7.090 b=8.532 c=10.921 alpha=90.00 beta=100.01 gamma=90.00
Space group C2/c (No. 15)
Asymmetric unit:
Li 0.250 0.250 0.000 [4 per cell]
Ag 0.000 0.111 0.250 [4 per cell]
S 0.000 0.479 0.750 [4 per cell]
S 0.042 0.112 0.485 [8 per cell]
S 0.225 0.381 0.235 [8 per cell]


Entry 2:
Simulated X-ray diffraction stick pattern
Compound: Tm4Mg9Tl11
Radiation: copper Kα
Structure: DFT lattice parameters and positions (PBE)
Peak positions follow from Bragg's law for the DFT cell and can differ from measured ones.

Peak list (10 most intense, 2θ = 15–90°, by angle)
- d = 4.145 Å, I = 39
- d = 4.041 Å, I = 36
- d = 3.548 Å, I = 23
- d = 2.677 Å, I = 72
- d = 2.666 Å, I = 100
- d = 2.582 Å, I = 31
- d = 2.518 Å, I = 83
- d = 1.511 Å, I = 21
- d = 1.501 Å, I = 24
- d = 1.479 Å, I = 24

Cell and atoms:
Unit cell a=16.164 b=21.444 c=3.548 alpha=90.00 beta=90.00 gamma=90.00
Space group Cmmm (No. 65)
Asymmetric unit:
Tm 0.159 0.085 0.000 [8 per cell]
Mg 0.000 0.000 0.000 [2 per cell]
Mg 0.109 0.237 0.000 [8 per cell]
Mg 0.111 0.411 0.000 [8 per cell]
Tl 0.000 0.136 0.500 [4 per cell]
Tl 0.000 0.324 0.500 [4 per cell]
Tl 0.000 0.500 0.500 [2 per cell]
Tl 0.220 0.500 0.500 [4 per cell]
Tl 0.230 0.324 0.500 [8 per cell]